Structure and calculated powder X-ray diffraction pattern of RbV3Pb4O12 (a crystal structure in Alexandria, relaxed with GGA+U; Cu Ka).

Main lines, by angle (2θ from 10° to 90°):
- hkl 2 0 0, 2θ = 21.03°, 4.225 Å, intensity 35.2
- hkl 2 2 0, 2θ = 29.91°, 2.988 Å, intensity 100.0
- hkl 4 0 0, 2θ = 42.80°, 2.113 Å, intensity 20.0
- hkl 4 2 0, 2θ = 48.16°, 1.890 Å, intensity 22.0
- hkl 4 2 2, 2θ = 53.09°, 1.725 Å, intensity 47.6
- hkl 4 4 0, 2θ = 62.14°, 1.494 Å, intensity 12.6
- hkl 6 0 2, 2θ = 70.48°, 1.336 Å, intensity 19.3
- hkl 6 2 4, 2θ = 86.11°, 1.129 Å, intensity 21.9

Crystal structure
```
data_RbV3Pb4O12
_symmetry_space_group_name_H-M 'I m -3'
_symmetry_Int_Tables_number 204
_symmetry_space_group_name_Hall '-I 2 2 3'
_cell_length_a 8.4504
_cell_length_b 8.4504
_cell_length_c 8.4504
_cell_angle_alpha 90.00
_cell_angle_beta 90.00
_cell_angle_gamma 90.00
loop_
_atom_site_label
_atom_site_fract_x
_atom_site_fract_y
_atom_site_fract_z
_atom_site_occupancy
Rb1 0.0000 0.0000 0.0000 1
V1 0.0000 0.0000 0.5000 1
Pb1 0.2500 0.2500 0.2500 1
O1 0.0000 0.3393 0.1568 1
```